# 1
For ZnNiO2, a cell relaxed with GGA+U gives the calculated XRD peak list in this record (a wavelength of 1.5418 Å).
Kinematic intensities with the Lorentz-polarization factor, no thermal factor.

Structure:
a b c (Å): 3.005 8.007 8.027
angles (deg): 99.52 100.53 100.46
Space group P-1 (No. 2)
Unique sites:
Zn (0.041, 0.243, 0.367) [2 per cell]
Zn (0.346, 0.895, 0.296) [2 per cell]
Ni (0.161, 0.819, 0.971) [2 per cell]
Ni (0.365, 0.435, 0.739) [2 per cell]
O (0.057, 0.407, 0.210) [2 per cell]
O (0.309, 0.240, 0.861) [2 per cell]
O (0.365, 0.087, 0.176) [2 per cell]
O (0.367, 0.742, 0.459) [2 per cell]

Principal peaks in the range 5 to 70 degrees two-theta, in order of falling intensity:
| 2θ/deg | I (rel.) | hkl |
| --- | --- | --- |
| 34.4 | 100 | 1 1 -1 |
| 34.5 | 50 | 1 -2 0 |
| 23.1 | 31 | 0 0 2 |
| 34.9 | 27 | 0 0 3 |
| 55.2 | 21 | 1 -3 3 |
| 61.7 | 21 | -2 1 1 |
| 36.2 | 19 | 0 2 2 |
| 40.4 | 14 | 1 1 1 |
| 47.9 | 14 | 1 1 2 |
| 48.3 | 14 | -1 2 3 |

=====

# 2
For VOsO3, a cell relaxed with GGA+U gives the calculated XRD peak list in this record (a wavelength of 1.5418 Å).
Kinematic intensities with the Lorentz-polarization factor, no thermal factor.

Structure:
a b c (Å): 3.912 3.912 3.912
angles (deg): 90.00 90.00 90.00
Space group Pm-3m (No. 221)
Unique sites:
V (0.000, 0.000, 0.000) [1 per cell]
Os (0.500, 0.500, 0.500) [1 per cell]
O (0.000, 0.500, 0.500) [3 per cell]

Principal peaks in the range 5 to 70 degrees two-theta, in order of falling intensity:
| 2θ/deg | I (rel.) | hkl |
| --- | --- | --- |
| 32.4 | 100 | 1 1 0 |
| 22.7 | 58 | 1 0 0 |
| 57.7 | 39 | 2 1 1 |
| 46.4 | 30 | 2 0 0 |
| 52.3 | 26 | 2 1 0 |
| 67.7 | 18 | 2 2 0 |
| 39.9 | 6 | 1 1 1 |

=====

# 3
For VP2Pb2O9, a cell relaxed with GGA+U gives the calculated XRD peak list in this record (a wavelength of 1.5418 Å).
Kinematic intensities with the Lorentz-polarization factor, no thermal factor.

Structure:
a b c (Å): 9.992 9.176 8.883
angles (deg): 90.00 100.53 90.00
Space group P2_1/c (No. 14)
Unique sites:
V (0.063, 0.001, 0.256) [4 per cell]
P (0.032, 0.249, 0.504) [4 per cell]
P (0.427, 0.548, 0.768) [4 per cell]
Pb (0.286, 0.645, 0.107) [4 per cell]
Pb (0.359, 0.191, 0.981) [4 per cell]
O (0.061, 0.650, 0.919) [4 per cell]
O (0.072, 0.663, 0.610) [4 per cell]
O (0.101, 0.535, 0.280) [4 per cell]
O (0.128, 0.152, 0.426) [4 per cell]
O (0.129, 0.151, 0.114) [4 per cell]
O (0.300, 0.590, 0.837) [4 per cell]
O (0.409, 0.615, 0.603) [4 per cell]
O (0.440, 0.100, 0.627) [4 per cell]
O (0.441, 0.120, 0.252) [4 per cell]

Principal peaks in the range 5 to 70 degrees two-theta, in order of falling intensity:
| 2θ/deg | I (rel.) | hkl |
| --- | --- | --- |
| 26.6 | 100 | 2 1 -2 |
| 23.0 | 92 | 1 2 -1 |
| 24.4 | 89 | 1 2 1 |
| 28.2 | 79 | 0 2 2 |
| 29.7 | 76 | 2 2 1 |
| 48.2 | 61 | 3 3 -3 |
| 29.0 | 59 | 3 1 0 |
| 27.2 | 58 | 3 0 0 |
| 9.0 | 58 | 1 0 0 |
| 22.5 | 55 | 0 1 2 |

=====

# 4
For V2P4PbO14, a cell relaxed with GGA+U gives the calculated XRD peak list in this record (a wavelength of 1.5418 Å).
Kinematic intensities with the Lorentz-polarization factor, no thermal factor.

Structure:
a b c (Å): 4.891 7.219 8.067
angles (deg): 89.61 87.15 73.73
Space group P-1 (No. 2)
Unique sites:
V (0.000, 0.000, 0.000) [1 per cell]
V (0.500, 0.500, 0.500) [1 per cell]
P (0.023, 0.385, 0.748) [2 per cell]
P (0.383, 0.227, 0.204) [2 per cell]
Pb (0.000, 0.000, 0.500) [1 per cell]
O (0.085, 0.206, 0.853) [2 per cell]
O (0.128, 0.650, 0.410) [2 per cell]
O (0.182, 0.096, 0.206) [2 per cell]
O (0.200, 0.442, 0.151) [2 per cell]
O (0.291, 0.446, 0.704) [2 per cell]
O (0.379, 0.826, 0.928) [2 per cell]
O (0.480, 0.240, 0.384) [2 per cell]

Principal peaks in the range 5 to 70 degrees two-theta, in order of falling intensity:
| 2θ/deg | I (rel.) | hkl |
| --- | --- | --- |
| 25.7 | 100 | 1 -1 0 |
| 11.0 | 96 | 0 0 1 |
| 29.1 | 84 | 1 1 2 |
| 23.0 | 81 | 1 1 -1 |
| 18.9 | 58 | 1 0 0 |
| 27.6 | 52 | 1 -1 1 |
| 30.4 | 51 | 1 1 -2 |
| 28.1 | 50 | 0 2 1 |
| 25.5 | 50 | 0 1 -2 |
| 12.8 | 41 | 0 1 0 |

=====

# 5
For VP2PbO8, a cell relaxed with GGA+U gives the calculated XRD peak list in this record (a wavelength of 1.5418 Å).
Kinematic intensities with the Lorentz-polarization factor, no thermal factor.

Structure:
a b c (Å): 7.571 9.069 9.274
angles (deg): 90.00 90.00 90.00
Space group P2_12_12_1 (No. 19)
Unique sites:
V (0.221, 0.249, 0.004) [4 per cell]
P (0.198, 0.029, 0.277) [4 per cell]
P (0.198, 0.530, 0.224) [4 per cell]
Pb (0.000, 0.184, 0.596) [4 per cell]
O (0.000, 0.484, 0.268) [4 per cell]
O (0.001, 0.247, 0.033) [4 per cell]
O (0.194, 0.152, 0.389) [4 per cell]
O (0.194, 0.652, 0.112) [4 per cell]
O (0.209, 0.427, 0.865) [4 per cell]
O (0.212, 0.925, 0.635) [4 per cell]
O (0.214, 0.114, 0.829) [4 per cell]
O (0.216, 0.614, 0.669) [4 per cell]

Principal peaks in the range 5 to 70 degrees two-theta, in order of falling intensity:
| 2θ/deg | I (rel.) | hkl |
| --- | --- | --- |
| 27.3 | 100 | 2 1 1 |
| 24.6 | 99 | 1 1 2 |
| 42.0 | 66 | 3 1 2 |
| 22.9 | 63 | 1 2 0 |
| 27.5 | 55 | 0 2 2 |
| 13.7 | 48 | 0 1 1 |
| 31.3 | 48 | 1 0 3 |
| 33.3 | 47 | 1 3 1 |
| 18.0 | 46 | 1 1 1 |
| 24.8 | 39 | 1 2 1 |

=====

Question: What is the formula in the first record?
Answer: ZnNiO2